Starting from DFT lattice parameters and positions (GGA-PBE), the powder X-ray diffraction pattern of Ca3As4Rh4 was calculated for Cu Kα X-rays.

Largest 10 diffraction maxima, by angle, 10 to 90 degrees two-theta:
- 16.40 deg, rel. 76
- 28.60 deg, rel. 20
- 33.15 deg, rel. 32
- 37.19 deg, rel. 100
- 44.34 deg, rel. 36
- 50.66 deg, rel. 58
- 56.46 deg, rel. 17
- 61.89 deg, rel. 15
- 72.04 deg, rel. 16
- 76.88 deg, rel. 17

abc: 6.6203 6.6203 6.6203
angles: 109.47 109.47 109.47
Fractional positions:
Ca1 0.0000 0.5000 0.5000
Ca2 0.5000 0.0000 0.5000
Ca3 0.5000 0.5000 0.0000
As1 0.0000 0.0000 0.6377
As2 0.0000 0.6377 0.0000
As3 0.3623 0.3623 0.3623
As4 0.6377 0.0000 0.0000
Rh1 0.0000 0.0000 0.2843
Rh2 0.0000 0.2843 0.0000
Rh3 0.2843 0.0000 0.0000
Rh4 0.7157 0.7157 0.7157

Starting from DFT lattice parameters and positions (GGA-PBE), the powder X-ray diffraction pattern of Ho5TmSb6 was calculated for Cu Kα X-rays.

Largest 10 diffraction maxima, by angle, 10 to 90 degrees two-theta:
- 25.00 deg, rel. 4
- 28.95 deg, rel. 100
- 41.40 deg, rel. 76
- 48.97 deg, rel. 2
- 51.30 deg, rel. 27
- 59.98 deg, rel. 13
- 66.01 deg, rel. 1
- 67.95 deg, rel. 35
- 75.49 deg, rel. 26
- 89.96 deg, rel. 9

abc: 7.5565 7.5565 7.5545
angles: 99.60 99.60 119.99
Fractional positions:
Ho1 0.0000 0.0000 0.0000
Ho2 0.1666 0.8334 0.5000
Ho3 0.3328 0.6672 0.0000
Ho4 0.6672 0.3328 0.0000
Ho5 0.8334 0.1666 0.5000
Tm1 0.5000 0.5000 0.5000
Sb1 0.0849 0.4170 0.2509
Sb2 0.2511 0.2511 0.7495
Sb3 0.4170 0.0849 0.2509
Sb4 0.5830 0.9151 0.7491
Sb5 0.7489 0.7489 0.2505
Sb6 0.9151 0.5830 0.7491